# Mg4Si7
Simulated XRD peak list, copper Kα. Input: DFT lattice parameters and positions (GGA-PBE).
Neutral-atom scattering factors, no anomalous dispersion.

Cell and atoms:
```
data_Mg4Si7
_chemical_formula_sum 'Mg8 Si14'
_space_group_name_H-M_alt 'P 1'
_space_group_IT_number 1
_cell_length_a 3.914
_cell_length_b 7.068
_cell_length_c 14.477
_cell_angle_alpha 97.79
_cell_angle_beta 90.71
_cell_angle_gamma 90.30
loop_
_space_group_symop_operation_xyz
'x,y,z'
loop_
_atom_site_label
_atom_site_type_symbol
_atom_site_fract_x
_atom_site_fract_y
_atom_site_fract_z
Mg1 Mg 0.000 0.000 0.000
Mg2 Mg 0.001 0.419 0.159
Mg3 Mg 0.007 0.921 0.234
Mg4 Mg 0.045 0.157 0.745
Mg5 Mg 0.496 0.703 0.077
Mg6 Mg 0.521 0.544 0.509
Mg7 Mg 0.525 0.977 0.416
Mg8 Mg 0.982 0.477 0.919
Si1 Si 0.013 0.305 0.383
Si2 Si 0.013 0.665 0.383
Si3 Si 0.018 0.841 0.545
Si4 Si 0.043 0.184 0.529
Si5 Si 0.045 0.521 0.664
Si6 Si 0.462 0.771 0.888
Si7 Si 0.495 0.317 0.028
Si8 Si 0.504 0.094 0.139
Si9 Si 0.506 0.288 0.286
Si10 Si 0.509 0.646 0.272
Si11 Si 0.524 0.869 0.656
Si12 Si 0.531 0.132 0.878
Si13 Si 0.548 0.288 0.633
Si14 Si 0.946 0.784 0.783
```

Principal peaks in the range 2θ from 5° to 70°, by intensity:
- hkl 1 2 -3, 37.56°, I 100
- hkl 2 0 0, 46.40°, I 74
- hkl -1 1 4, 37.28°, I 62
- hkl 0 3 1, 39.96°, I 57
- hkl 1 -1 4, 35.22°, I 49
- hkl 1 1 4, 37.81°, I 43
- hkl 1 2 1, 35.76°, I 42
- hkl -1 2 1, 35.41°, I 41
- hkl 0 3 -3, 40.64°, I 36
- hkl 1 0 5, 39.18°, I 35



# Mg3Si4
Simulated XRD peak list, copper Kα. Input: DFT lattice parameters and positions (GGA-PBE).
Neutral-atom scattering factors, no anomalous dispersion.

Cell and atoms:
```
data_Mg3Si4
_chemical_formula_sum 'Mg6 Si8'
_space_group_name_H-M_alt 'P 1'
_space_group_IT_number 1
_cell_length_a 5.834
_cell_length_b 5.934
_cell_length_c 7.978
_cell_angle_alpha 76.35
_cell_angle_beta 73.00
_cell_angle_gamma 88.16
loop_
_space_group_symop_operation_xyz
'x,y,z'
loop_
_atom_site_label
_atom_site_type_symbol
_atom_site_fract_x
_atom_site_fract_y
_atom_site_fract_z
Mg1 Mg 0.000 0.000 0.000
Mg2 Mg 0.005 0.231 0.624
Mg3 Mg 0.180 0.513 0.933
Mg4 Mg 0.307 0.712 0.500
Mg5 Mg 0.466 0.917 0.060
Mg6 Mg 0.602 0.164 0.342
Si1 Si 0.115 0.096 0.293
Si2 Si 0.126 0.519 0.275
Si3 Si 0.460 0.935 0.719
Si4 Si 0.519 0.343 0.695
Si5 Si 0.699 0.370 0.943
Si6 Si 0.728 0.612 0.220
Si7 Si 0.815 0.712 0.481
Si8 Si 0.832 0.760 0.771
```

Principal peaks in the range 2θ from 5° to 70°, by intensity:
- hkl 0 2 -1, 36.01°, I 100
- hkl 2 -1 0, 35.21°, I 54
- hkl 2 0 3, 41.11°, I 47
- hkl 1 2 0, 35.65°, I 30
- hkl 1 2 1, 33.44°, I 19
- hkl 2 2 2, 43.47°, I 17
- hkl 2 1 1, 33.84°, I 17
- hkl 2 1 -1, 42.55°, I 15
- hkl 0 2 3, 42.16°, I 15
- hkl -1 3 1, 49.53°, I 13



# Mg3Si4
Simulated XRD peak list, copper Kα. Input: DFT lattice parameters and positions (GGA-PBE).
Neutral-atom scattering factors, no anomalous dispersion.

Cell and atoms:
```
data_Mg3Si4
_chemical_formula_sum 'Mg6 Si8'
_space_group_name_H-M_alt 'P 1'
_space_group_IT_number 1
_cell_length_a 5.842
_cell_length_b 7.357
_cell_length_c 7.414
_cell_angle_alpha 113.35
_cell_angle_beta 101.67
_cell_angle_gamma 106.80
loop_
_space_group_symop_operation_xyz
'x,y,z'
loop_
_atom_site_label
_atom_site_type_symbol
_atom_site_fract_x
_atom_site_fract_y
_atom_site_fract_z
Mg1 Mg 0.000 0.000 0.000
Mg2 Mg 0.004 0.719 0.527
Mg3 Mg 0.235 0.203 0.555
Mg4 Mg 0.646 0.978 0.579
Mg5 Mg 0.655 0.144 0.239
Mg6 Mg 0.854 0.407 0.003
Si1 Si 0.225 0.819 0.233
Si2 Si 0.238 0.469 0.325
Si3 Si 0.257 0.631 0.881
Si4 Si 0.395 0.086 0.863
Si5 Si 0.413 0.450 0.056
Si6 Si 0.554 0.635 0.677
Si7 Si 0.796 0.808 0.222
Si8 Si 0.814 0.417 0.644
```

Principal peaks in the range 2θ from 5° to 70°, by intensity:
- hkl 0 2 -3, 38.16°, I 100
- hkl 0 3 -1, 39.01°, I 73
- hkl -2 1 2, 38.62°, I 66
- hkl 2 1 -1, 38.29°, I 66
- hkl 1 -2 2, 32.86°, I 61
- hkl 2 -2 0, 34.74°, I 59
- hkl 1 -3 1, 36.99°, I 56
- hkl -1 2 1, 33.99°, I 51
- hkl 1 1 1, 35.93°, I 49
- hkl -2 1 1, 32.06°, I 40